# UVSe
Computed powder X-ray diffraction pattern, copper Kα. Input: a structure optimized by DFT (GGA-PBE).
Lines closer than 0.1° are merged.

Crystal structure
a = 8.8562 Å, b = 8.8562 Å, c = 3.2906 Å
α = 90.00°, β = 90.00°, γ = 90.00°
Space group P4_2/m (No. 84)
One atom of each set of equivalent atoms:
U1 0.0149 0.2104 0.0000
V1 0.2338 0.7136 0.5000
Se1 0.2046 0.4279 0.5000

The 10 most intense peaks (10 to 90 degrees two-theta), sorted by position:
| 2theta | intensity | index |
| --- | --- | --- |
| 28.51 | 39 | 2 2 0 |
| 33.94 | 100 | 2 0 1 |
| 35.47 | 26 | 1 2 1 |
| 36.58 | 41 | 3 2 0 |
| 40.75 | 19 | 4 0 0 |
| 41.08 | 43 | 3 0 1 |
| 51.60 | 18 | 5 0 0 |
| 54.05 | 17 | 4 2 1 |
| 63.21 | 21 | 5 2 1 |
| 68.66 | 14 | 3 2 2 |

# LiScCdCl6
Computed powder X-ray diffraction pattern, copper Kα. Input: a structure optimized by DFT (GGA-PBE).
Lines closer than 0.1° are merged.

Crystal structure
a = 6.5305 Å, b = 6.5305 Å, c = 11.8045 Å
α = 90.00°, β = 90.00°, γ = 120.00°
Space group P-31c (No. 163)
One atom of each set of equivalent atoms:
Li1 0.0000 0.0000 0.0000
Sc1 0.3333 0.6667 0.2500
Cd1 0.3333 0.6667 0.7500
Cl1 0.0183 0.3520 0.1278

The 10 most intense peaks (10 to 90 degrees two-theta), sorted by position:
| 2theta | intensity | index |
| --- | --- | --- |
| 15.01 | 46 | 0 0 2 |
| 15.67 | 33 | 1 0 0 |
| 17.39 | 17 | 1 0 1 |
| 21.76 | 32 | 1 0 2 |
| 31.31 | 100 | 1 1 2 |
| 41.23 | 57 | 1 1 4 |
| 48.28 | 32 | 3 0 0 |
| 54.45 | 19 | 2 -1 6 |
| 58.67 | 13 | 4 -2 2 |
| 65.32 | 14 | 4 -2 4 |

# BaCaAlPd
Computed powder X-ray diffraction pattern, copper Kα. Input: a structure optimized by DFT (GGA-PBE).
Lines closer than 0.1° are merged.

Crystal structure
a = 4.4397 Å, b = 4.4397 Å, c = 23.9765 Å
α = 90.00°, β = 90.00°, γ = 120.00°
Space group R3m (No. 160, hexagonal axes)
One atom of each set of equivalent atoms:
Ba1 0.0000 0.0000 0.0000
Ca1 0.0000 0.0000 0.1749
Al1 0.0000 0.0000 0.7639
Pd1 0.0000 0.0000 0.4327

The 10 most intense peaks (10 to 90 degrees two-theta), sorted by position:
| 2theta | intensity | index |
| --- | --- | --- |
| 11.07 | 100 | 0 0 3 |
| 24.31 | 70 | 0 1 2 |
| 27.56 | 74 | 1 0 4 |
| 29.78 | 89 | 0 1 5 |
| 35.09 | 63 | 1 0 7 |
| 40.64 | 67 | 1 1 0 |
| 42.25 | 22 | 1 1 3 |
| 47.96 | 27 | 0 1 11 |
| 53.75 | 31 | 1 1 9 |
| 62.55 | 26 | 1 1 12 |

# Dy2Y5Sb4
Computed powder X-ray diffraction pattern, copper Kα. Input: a structure optimized by DFT (GGA-PBE).
Lines closer than 0.1° are merged.

Crystal structure
a = 25.5283 Å, b = 4.0280 Å, c = 6.9934 Å
α = 90.00°, β = 92.20°, γ = 90.00°
Space group C2/m (No. 12)
One atom of each set of equivalent atoms:
Dy1 0.2362 0.0000 0.2749
Y1 0.0000 0.5000 0.5000
Y2 0.0924 0.0000 0.1980
Y3 0.1420 0.0000 0.6928
Sb1 0.0296 0.0000 0.8074
Sb2 0.1720 0.5000 0.0159

The 10 most intense peaks (10 to 90 degrees two-theta), sorted by position:
| 2theta | intensity | index |
| --- | --- | --- |
| 22.34 | 30 | 1 1 0 |
| 27.82 | 100 | 3 1 1 |
| 30.36 | 70 | 8 0 -1 |
| 31.32 | 27 | 5 1 1 |
| 33.83 | 37 | 6 0 2 |
| 34.05 | 37 | 1 1 -2 |
| 34.26 | 33 | 1 1 2 |
| 35.26 | 39 | 7 1 -1 |
| 35.97 | 30 | 7 1 1 |
| 45.00 | 49 | 0 2 0 |

# Li2Nd5Sb5
Computed powder X-ray diffraction pattern, copper Kα. Input: a structure optimized by DFT (GGA-PBE).
Lines closer than 0.1° are merged.

Crystal structure
a = 14.7880 Å, b = 4.4299 Å, c = 12.4186 Å
α = 90.00°, β = 113.55°, γ = 90.00°
Space group C2/m (No. 12)
One atom of each set of equivalent atoms:
Li1 0.0665 0.0000 0.2876
Nd1 0.0000 0.5000 0.0000
Nd2 0.1563 0.5000 0.5274
Nd3 0.2245 0.5000 0.8451
Sb1 0.0000 0.0000 0.5000
Sb2 0.1053 0.0000 0.9106
Sb3 0.1900 0.5000 0.2862

The 10 most intense peaks (10 to 90 degrees two-theta), sorted by position:
| 2theta | intensity | index |
| --- | --- | --- |
| 15.57 | 26 | 0 0 2 |
| 24.10 | 51 | 2 0 2 |
| 27.06 | 96 | 3 1 -1 |
| 28.19 | 76 | 3 1 -2 |
| 31.32 | 100 | 3 1 -3 |
| 35.82 | 61 | 1 1 -4 |
| 38.95 | 32 | 5 1 0 |
| 39.82 | 39 | 6 0 -4 |
| 40.74 | 44 | 0 2 0 |
| 58.27 | 23 | 6 2 -4 |

# Rb3GeS3
Computed powder X-ray diffraction pattern, copper Kα. Input: a structure optimized by DFT (GGA-PBE).
Lines closer than 0.1° are merged.

Crystal structure
a = 9.9780 Å, b = 17.2197 Å, c = 6.6426 Å
α = 90.00°, β = 90.00°, γ = 90.00°
Space group Cmcm (No. 63)
One atom of each set of equivalent atoms:
Rb1 0.0000 0.1837 0.2500
Rb2 0.2231 0.4080 0.2500
Ge1 0.0000 0.3329 0.7500
S1 0.0000 0.2035 0.7500
S2 0.1933 0.3978 0.7500

The 10 most intense peaks (10 to 90 degrees two-theta), sorted by position:
| 2theta | intensity | index |
| --- | --- | --- |
| 20.59 | 76 | 0 4 0 |
| 24.61 | 100 | 0 4 1 |
| 26.84 | 59 | 0 0 2 |
| 27.36 | 27 | 3 1 0 |
| 34.07 | 41 | 0 4 2 |
| 36.00 | 16 | 4 0 0 |
| 36.11 | 33 | 2 6 0 |
| 38.70 | 20 | 3 1 2 |
| 45.53 | 49 | 2 6 2 |
| 46.08 | 19 | 0 4 3 |

# PrPaSb
Computed powder X-ray diffraction pattern, copper Kα. Input: a structure optimized by DFT (GGA-PBE).
Lines closer than 0.1° are merged.

Crystal structure
a = 4.2074 Å, b = 4.2074 Å, c = 21.9301 Å
α = 90.00°, β = 90.00°, γ = 90.00°
Space group I4/mmm (No. 139)
One atom of each set of equivalent atoms:
Pr1 0.0000 0.0000 0.1194
Pa1 0.0000 0.0000 0.2769
Sb1 0.0000 0.0000 0.4260

The 10 most intense peaks (10 to 90 degrees two-theta), sorted by position:
| 2theta | intensity | index |
| --- | --- | --- |
| 24.35 | 24 | 0 0 6 |
| 29.42 | 36 | 1 0 5 |
| 30.04 | 100 | 1 1 0 |
| 35.73 | 86 | 1 0 7 |
| 39.04 | 29 | 1 1 6 |
| 43.00 | 38 | 2 0 0 |
| 57.10 | 45 | 2 1 7 |
| 58.99 | 25 | 1 0 13 |
| 70.82 | 17 | 3 1 0 |
| 75.72 | 26 | 2 1 13 |

# SrGaAg3
Computed powder X-ray diffraction pattern, copper Kα. Input: a structure optimized by DFT (GGA-PBE).
Lines closer than 0.1° are merged.

Crystal structure
a = 6.4315 Å, b = 6.4357 Å, c = 6.4607 Å
α = 90.00°, β = 119.71°, γ = 90.00°
Space group Cm (No. 8)
One atom of each set of equivalent atoms:
Sr1 0.0000 0.0000 0.0000
Ga1 0.1222 0.5000 0.2440
Ag1 0.3918 0.0000 0.7853
Ag2 0.4923 0.2502 0.4849

The 10 most intense peaks (10 to 90 degrees two-theta), sorted by position:
| 2theta | intensity | index |
| --- | --- | --- |
| 15.79 | 14 | 0 0 1 |
| 30.95 | 34 | 1 1 1 |
| 32.07 | 100 | 2 0 -2 |
| 39.62 | 58 | 2 2 -1 |
| 42.74 | 26 | 2 0 1 |
| 45.04 | 21 | 1 1 2 |
| 51.08 | 12 | 3 1 0 |
| 57.28 | 19 | 0 4 0 |
| 61.49 | 12 | 1 3 -3 |
| 67.18 | 23 | 4 2 -3 |

# PrGa3Pd
Computed powder X-ray diffraction pattern, copper Kα. Input: a structure optimized by DFT (GGA-PBE).
Lines closer than 0.1° are merged.

Crystal structure
a = 4.2502 Å, b = 4.2502 Å, c = 10.8486 Å
α = 90.00°, β = 90.00°, γ = 90.00°
Space group I-4m2 (No. 119)
One atom of each set of equivalent atoms:
Pr1 0.0000 0.0000 0.0000
Ga1 0.0000 0.0000 0.3845
Ga2 0.0000 0.5000 0.2500
Pd1 0.0000 0.5000 0.7500

The 10 most intense peaks (10 to 90 degrees two-theta), sorted by position:
| 2theta | intensity | index |
| --- | --- | --- |
| 32.51 | 51 | 1 0 3 |
| 34.11 | 100 | 1 1 2 |
| 42.54 | 51 | 2 0 0 |
| 45.02 | 13 | 1 1 4 |
| 47.02 | 26 | 1 0 5 |
| 54.54 | 23 | 2 1 3 |
| 61.73 | 17 | 2 2 0 |
| 65.26 | 19 | 2 1 5 |
| 72.45 | 22 | 3 1 2 |
| 84.81 | 13 | 2 0 8 |

# Mg2PaRh3
Computed powder X-ray diffraction pattern, copper Kα. Input: a structure optimized by DFT (GGA-PBE).
Lines closer than 0.1° are merged.

Crystal structure
a = 4.5111 Å, b = 12.9494 Å, c = 3.5475 Å
α = 90.00°, β = 90.00°, γ = 90.00°
Space group Cmmm (No. 65)
One atom of each set of equivalent atoms:
Mg1 0.0000 0.1773 0.0000
Pa1 0.0000 0.5000 0.0000
Rh1 0.0000 0.0000 0.5000
Rh2 0.0000 0.3422 0.5000

The 10 most intense peaks (10 to 90 degrees two-theta), sorted by position:
| 2theta | intensity | index |
| --- | --- | --- |
| 13.68 | 39 | 0 2 0 |
| 20.85 | 30 | 1 1 0 |
| 32.85 | 16 | 1 1 1 |
| 38.43 | 100 | 1 3 1 |
| 39.97 | 23 | 2 0 0 |
| 41.86 | 19 | 0 6 0 |
| 51.52 | 11 | 0 0 2 |
| 59.26 | 13 | 2 6 0 |
| 71.57 | 16 | 3 3 1 |
| 74.16 | 13 | 1 9 1 |

# NaNdSi
Computed powder X-ray diffraction pattern, copper Kα. Input: a structure optimized by DFT (GGA-PBE).
Lines closer than 0.1° are merged.

Crystal structure
a = 4.5249 Å, b = 20.0541 Å, c = 3.7729 Å
α = 90.00°, β = 90.00°, γ = 90.00°
Space group Cmcm (No. 63)
One atom of each set of equivalent atoms:
Na1 0.0000 0.2130 0.2500
Nd1 0.0000 0.4240 0.7500
Si1 0.0000 0.0382 0.7500

The 10 most intense peaks (10 to 90 degrees two-theta), sorted by position:
| 2theta | intensity | index |
| --- | --- | --- |
| 20.12 | 48 | 1 1 0 |
| 25.22 | 43 | 0 2 1 |
| 26.67 | 27 | 0 6 0 |
| 29.63 | 18 | 0 4 1 |
| 29.77 | 41 | 1 5 0 |
| 33.71 | 100 | 1 3 1 |
| 37.14 | 15 | 1 7 0 |
| 38.32 | 29 | 1 5 1 |
| 39.84 | 19 | 2 0 0 |
| 47.74 | 15 | 2 2 1 |

# Nd2ScPdO6
Computed powder X-ray diffraction pattern, copper Kα. Input: a structure optimized by DFT (GGA-PBE).
Lines closer than 0.1° are merged.

Crystal structure
a = 10.1503 Å, b = 5.5974 Å, c = 5.6158 Å
α = 90.00°, β = 122.51°, γ = 90.00°
Space group C2 (No. 5)
One atom of each set of equivalent atoms:
Nd1 0.2468 0.0000 0.2221
Sc1 0.0000 0.0172 0.5000
Pd1 0.0000 0.5159 0.0000
O1 0.0703 0.7611 0.8164
O2 0.0716 0.2657 0.8314
O3 0.2328 0.0590 0.6160

The 10 most intense peaks (10 to 90 degrees two-theta), sorted by position:
| 2theta | intensity | index |
| --- | --- | --- |
| 30.53 | 100 | 1 1 1 |
| 30.95 | 93 | 3 1 -1 |
| 31.88 | 34 | 2 0 -2 |
| 31.98 | 40 | 0 2 0 |
| 42.23 | 24 | 4 0 0 |
| 45.78 | 44 | 2 2 -2 |
| 53.94 | 25 | 4 2 0 |
| 55.71 | 18 | 1 1 -3 |
| 56.09 | 18 | 1 3 1 |
| 56.48 | 18 | 5 1 -3 |

# Na8HgPb3
Computed powder X-ray diffraction pattern, copper Kα. Input: a structure optimized by DFT (GGA-PBE).
Lines closer than 0.1° are merged.

Crystal structure
a = 6.7232 Å, b = 11.4505 Å, c = 18.6438 Å
α = 90.00°, β = 90.00°, γ = 90.00°
Space group Fmmm (No. 69)
One atom of each set of equivalent atoms:
Na1 0.0000 0.2492 0.0915
Na2 0.2470 0.0000 0.3419
Hg1 0.0000 0.0000 0.0000
Pb1 0.0000 0.0000 0.5000
Pb2 0.2500 0.2500 0.2500

The 10 most intense peaks (10 to 90 degrees two-theta), sorted by position:
| 2theta | intensity | index |
| --- | --- | --- |
| 18.18 | 100 | 0 2 2 |
| 19.04 | 39 | 0 0 4 |
| 28.22 | 53 | 2 0 2 |
| 30.85 | 20 | 2 2 0 |
| 31.25 | 26 | 0 4 0 |
| 32.79 | 46 | 0 2 6 |
| 36.50 | 61 | 2 2 4 |
| 42.60 | 36 | 2 4 2 |
| 50.23 | 20 | 2 2 8 |
| 65.17 | 16 | 0 8 0 |

# Zn2Cu15Au2
Computed powder X-ray diffraction pattern, copper Kα. Input: a structure optimized by DFT (GGA-PBE).
Lines closer than 0.1° are merged.

Crystal structure
a = 8.3610 Å, b = 8.3610 Å, c = 12.5992 Å
α = 90.00°, β = 90.00°, γ = 120.00°
Space group R-3m (No. 166, hexagonal axes)
One atom of each set of equivalent atoms:
Zn1 0.0000 0.0000 0.1045
Cu1 0.0000 0.3148 0.0000
Cu2 0.0000 0.5000 0.5000
Cu3 0.0046 0.5023 0.1580
Au1 0.0000 0.0000 0.3578

The 10 most intense peaks (10 to 90 degrees two-theta), sorted by position:
| 2theta | intensity | index |
| --- | --- | --- |
| 30.16 | 19 | 1 1 3 |
| 30.96 | 18 | 1 0 4 |
| 37.25 | 32 | 3 0 0 |
| 37.86 | 21 | 0 2 4 |
| 43.08 | 17 | 0 0 6 |
| 43.25 | 100 | 2 2 0 |
| 43.82 | 20 | 2 1 4 |
| 48.66 | 14 | 2 2 3 |
| 71.31 | 13 | 3 3 3 |
| 79.41 | 14 | 6 0 0 |